Theoretical XRD peak list of Ti3InC for Cu Kα X-rays, from a crystal structure in the Materials Project, relaxed with PBE.
Kinematic intensities with the Lorentz-polarization factor, no thermal factor.

Crystal structure
Cell: 4.248 4.248 4.248 Å, 90.00 90.00 90.00°
Space group Pm-3m (No. 221)
Symmetry-distinct sites (fractional):
Ti (0.000, 0.000, 0.500)
In (0.500, 0.500, 0.500)
C (0.000, 0.000, 0.000)

Top 12 peaks for 2θ = 10–90°, by angle:
two_theta, d/Å, I/Imax
20.91, 4.248, 15
29.74, 3.004, 28
36.64, 2.453, 100
42.56, 2.124, 56
47.88, 1.900, 9
52.78, 1.734, 11
61.76, 1.502, 34
65.97, 1.416, 4
70.04, 1.343, 4
74.01, 1.281, 34
77.90, 1.226, 11
85.53, 1.135, 5